This entry pairs a crystal structure of BaLiZn4 with its simulated XRD peak list. Radiation: λ = 1.5418 Å (Cu Kα). Structure: a DFT-relaxed cell (PBE, Alexandria).
Lines closer than 0.1° are merged.

Main lines, by angle (2θ = 10–90°):
| hkl | two_theta | d/Å | Rel. int. |
| --- | --- | --- | --- |
| 2 0 2 | 23.4 | 3.805 | 51 |
| 2 2 0 | 25.5 | 3.498 | 98 |
| 3 0 1 | 28.1 | 3.178 | 34 |
| 2 2 2 | 29.6 | 3.016 | 64 |
| 2 1 3 | 30.3 | 2.954 | 100 |
| 3 1 2 | 32.3 | 2.770 | 47 |
| 1 1 4 | 32.7 | 2.739 | 36 |
| 3 0 3 | 35.4 | 2.537 | 46 |
| 4 0 2 | 39.4 | 2.284 | 41 |
| 3 3 4 | 49.7 | 1.836 | 34 |
| 4 3 3 | 51.6 | 1.771 | 35 |
| 3 1 6 | 54.8 | 1.676 | 32 |

Atomic structure:
Cell: 9.894 9.894 11.907 Å, 90.00 90.00 90.00°
Space group I4/mmm (No. 139)
Inequivalent atoms, fractional coordinates:
Ba 0.000 0.000 0.173 x4
Ba 0.000 0.500 0.250 x4
Li 0.000 0.196 0.500 x8
Zn 0.123 0.306 0.000 x16
Zn 0.202 0.202 0.338 x16

This entry pairs a crystal structure of AcAl2ZnPd4 with its simulated XRD peak list. Radiation: λ = 1.5418 Å (Cu Kα). Structure: a DFT-relaxed cell (PBE, Alexandria).
Lines closer than 0.1° are merged.

Main lines, by angle (2θ = 10–90°):
| hkl | two_theta | d/Å | Rel. int. |
| --- | --- | --- | --- |
| 0 1 2 | 24.7 | 3.606 | 59 |
| 0 1 5 | 28.9 | 3.090 | 36 |
| 1 0 7 | 33.1 | 2.706 | 59 |
| 0 1 8 | 35.5 | 2.529 | 70 |
| 1 0 10 | 40.8 | 2.213 | 22 |
| 1 1 0 | 41.9 | 2.158 | 100 |
| 0 1 11 | 43.6 | 2.076 | 15 |
| 0 2 7 | 54.4 | 1.687 | 15 |
| 2 0 8 | 56.0 | 1.641 | 19 |
| 1 1 15 | 67.0 | 1.396 | 20 |
| 1 2 8 | 72.3 | 1.306 | 17 |
| 3 0 0 | 76.5 | 1.246 | 17 |

Atomic structure:
Cell: 4.3152 4.3152 27.4705 Å, 90.00 90.00 120.00°
Space group R-3m (No. 166, hexagonal axes)
Inequivalent atoms, fractional coordinates:
Ac 0.0000 0.0000 0.0000 x3
Al 0.0000 0.0000 0.2322 x6
Zn 0.0000 0.0000 0.5000 x3
Pd 0.0000 0.0000 0.1337 x6
Pd 0.0000 0.0000 0.4067 x6

This entry pairs a crystal structure of CaDy2Y with its simulated XRD peak list. Radiation: λ = 1.5418 Å (Cu Kα). Structure: a DFT-relaxed cell (PBE, Alexandria).
Lines closer than 0.1° are merged.

Main lines, by angle (2θ = 10–90°):
| hkl | two_theta | d/Å | Rel. int. |
| --- | --- | --- | --- |
| 1 1 1 | 18.9 | 4.695 | 3 |
| 2 0 0 | 21.9 | 4.066 | 20 |
| 2 2 0 | 31.1 | 2.875 | 100 |
| 2 2 2 | 38.3 | 2.347 | 7 |
| 4 0 0 | 44.6 | 2.033 | 18 |
| 4 2 0 | 50.2 | 1.818 | 9 |
| 4 2 2 | 55.3 | 1.660 | 39 |
| 4 4 0 | 64.9 | 1.437 | 12 |
| 6 0 0 | 69.3 | 1.355 | 5 |
| 6 2 0 | 73.7 | 1.286 | 16 |
| 6 2 2 | 77.9 | 1.226 | 3 |
| 4 4 4 | 82.1 | 1.174 | 4 |

Atomic structure:
Cell: 8.132 8.132 8.132 Å, 90.00 90.00 90.00°
Space group Fm-3m (No. 225)
Inequivalent atoms, fractional coordinates:
Ca 0.000 0.000 0.000 x4
Dy 0.250 0.250 0.250 x8
Y 0.000 0.000 0.500 x4

This entry pairs a crystal structure of Cs2CaBiCl6 with its simulated XRD peak list. Radiation: λ = 1.5418 Å (Cu Kα). Structure: a DFT-relaxed cell (PBE, Alexandria).
Lines closer than 0.1° are merged.

Main lines, by angle (2θ = 10–90°):
| hkl | two_theta | d/Å | Rel. int. |
| --- | --- | --- | --- |
| 0 2 1 | 19.8 | 4.488 | 33 |
| 2 0 0 | 20.4 | 4.358 | 55 |
| 1 2 1 | 22.3 | 3.990 | 100 |
| 0 1 2 | 24.1 | 3.685 | 31 |
| 1 0 2 | 24.9 | 3.570 | 80 |
| 2 2 1 | 28.5 | 3.127 | 33 |
| 0 4 0 | 32.7 | 2.739 | 42 |
| 3 2 1 | 36.9 | 2.439 | 41 |
| 3 0 2 | 38.6 | 2.333 | 38 |
| 1 4 2 | 41.6 | 2.173 | 40 |
| 2 2 3 | 43.7 | 2.072 | 25 |
| 3 4 2 | 51.4 | 1.776 | 34 |

Atomic structure:
Cell: 8.717 10.957 7.827 Å, 90.00 90.00 90.00°
Space group Pmmn (No. 59, origin choice 2)
Inequivalent atoms, fractional coordinates:
Cs 0.250 0.007 0.159 x4
Ca 0.250 0.250 0.685 x2
Bi 0.250 0.750 0.648 x2
Cl 0.016 0.250 0.906 x4
Cl 0.059 0.250 0.394 x4
Cl 0.250 0.502 0.675 x4